No. 1
Diffraction record for Ba2YCl7. The powder diffraction line list is theoretical, not measured: it uses a crystal structure in the Materials Project, relaxed with PBE and Cu Kα, 1.54184 Å.
Peak positions follow from Bragg's law for the DFT cell and can differ from measured ones.

Peak list (10 most intense, 2θ from 5° to 70°, low angle first)
hkl  d/Å  2θ (°)  I_rel
1 0 -2  4.915  18.05  79
1 1 -2  4.633  19.16  50
1 2 1  4.523  19.63  66
1 1 2  4.274  20.78  45
2 0 0  3.567  24.96  50
2 2 -2  2.923  30.59  45
0 2 4  2.837  31.54  100
2 3 -1  2.800  31.96  60
0 5 1  2.710  33.05  56
2 4 0  2.488  36.10  51

Structural model:
```
Ba2YCl7
1.0
7.172 0.000 0.000
0.000 13.880 0.000
-1.130 0.000 12.435
Ba Y Cl
8 4 28
Direct
0.207 0.000 0.273
0.231 0.766 0.879
0.244 0.410 0.378
0.262 0.169 0.761
0.738 0.669 0.239
0.756 0.910 0.622
0.769 0.266 0.121
0.793 0.500 0.727
0.292 0.703 0.459
0.310 0.472 0.955
0.690 0.972 0.045
0.708 0.203 0.541
0.018 0.583 0.972
0.020 0.831 0.406
0.031 0.578 0.491
0.067 0.332 0.896
0.115 0.962 0.771
0.121 0.215 0.274
0.269 0.639 0.258
0.292 0.541 0.757
0.386 0.777 0.647
0.395 0.399 0.146
0.415 0.861 0.107
0.446 0.066 0.518
0.462 0.122 0.999
0.465 0.330 0.610
0.535 0.830 0.390
0.538 0.622 0.001
0.554 0.566 0.482
0.585 0.361 0.893
0.605 0.899 0.854
0.614 0.277 0.353
0.708 0.041 0.243
0.731 0.139 0.742
0.879 0.715 0.726
0.885 0.462 0.229
0.933 0.832 0.104
0.969 0.078 0.509
0.980 0.331 0.594
0.982 0.083 0.028
```



No. 2
Diffraction record for Ba2YCl7. The powder diffraction line list is theoretical, not measured: it uses a crystal structure in the Materials Project, relaxed with PBE and Cu Kα, 1.54184 Å.
Peak positions follow from Bragg's law for the DFT cell and can differ from measured ones.

Peak list (10 most intense, 2θ from 5° to 70°, low angle first)
hkl  d/Å  2θ (°)  I_rel
0 0 2  7.692  11.50  34
2 0 0  6.483  13.66  41
1 1 1  6.050  14.64  86
2 1 0  4.944  17.94  31
2 1 1  4.705  18.86  58
2 1 3  3.559  25.02  100
3 2 2  2.682  33.41  40
1 2 4  2.652  33.79  39
4 2 0  2.470  36.38  43
5 0 4  2.151  42.01  32

Structural model:
```
Ba2YCl7
1.0
12.965 0.000 0.000
0.000 7.636 0.000
0.000 0.000 15.384
Ba Y Cl
8 4 28
Direct
0.241 0.250 0.244
0.243 0.250 0.956
0.257 0.750 0.456
0.259 0.750 0.744
0.741 0.250 0.256
0.743 0.250 0.544
0.757 0.750 0.044
0.759 0.750 0.756
0.059 0.250 0.694
0.441 0.750 0.194
0.559 0.250 0.806
0.941 0.750 0.306
0.094 0.250 0.099
0.097 0.528 0.342
0.097 0.972 0.342
0.109 0.032 0.823
0.109 0.468 0.823
0.170 0.022 0.602
0.170 0.478 0.602
0.330 0.522 0.102
0.330 0.978 0.102
0.391 0.532 0.323
0.391 0.968 0.323
0.403 0.028 0.842
0.403 0.472 0.842
0.406 0.750 0.599
0.594 0.250 0.401
0.597 0.528 0.158
0.597 0.972 0.158
0.609 0.032 0.677
0.609 0.468 0.677
0.670 0.022 0.898
0.670 0.478 0.898
0.830 0.522 0.398
0.830 0.978 0.398
0.891 0.532 0.177
0.891 0.968 0.177
0.903 0.028 0.658
0.903 0.472 0.658
0.906 0.750 0.901
```



Number 1 is which compound?
Ba2YCl7